Structure and simulated X-ray diffraction stick pattern of KScVF6 (a crystal structure in Alexandria, relaxed with GGA+U; Cu Kα, 1.54184 Å).

The 10 most intense peaks (10 to 90 degrees two-theta), in order of rising 2θ:
14.00°, I = 74
14.36°, I = 28
27.11°, I = 100
27.66°, I = 43
28.21°, I = 18
28.94°, I = 51
42.88°, I = 27
46.68°, I = 16
47.48°, I = 45
60.85°, I = 14

Structure:
```
data_KScVF6
_cell_length_a 7.495
_cell_length_b 7.783
_cell_length_c 10.866
_cell_angle_alpha 90.00
_cell_angle_beta 90.00
_cell_angle_gamma 90.00
_space_group_name_H-M_alt 'I m m a'
_space_group_IT_number 74
_space_group_name_Hall '-I 2b 2'
loop_
_atom_site_label
_atom_site_fract_x
_atom_site_fract_y
_atom_site_fract_z
K1 0.000 0.250 0.078
Sc1 0.000 0.000 0.500
V1 0.250 0.250 0.750
F1 0.000 0.250 0.440
F2 0.000 0.250 0.835
F3 0.196 0.050 0.622
```